Diffraction record for Mg14MnNb. The powder X-ray diffraction pattern is simulated, not measured: it uses a structure optimized by DFT (GGA-PBE) and copper Kα.

Principal peaks in the range 15° ≤ 2θ ≤ 90°, in order of falling intensity:
2theta, I/Imax
37.51, 100
32.76, 27
36.00, 25
16.21, 24
70.62, 18
65.71, 18
58.48, 17
49.46, 16
24.15, 14
71.57, 13
33.59, 7
47.63, 6

```
Mg14MnNb
1.0
6.313 0.000 0.000
-3.157 5.468 0.000
0.000 0.000 9.980
Mg Mn Nb
14 1 1
Cartesian
0.000 0.000 2.480
0.000 0.000 7.500
-1.522 2.766 2.489
-1.522 2.766 7.491
1.578 0.911 4.990
1.595 0.921 0.000
1.522 2.766 2.489
1.522 2.766 7.491
0.000 5.403 2.489
0.000 5.403 7.491
4.719 0.921 0.000
3.157 3.626 0.000
4.735 0.911 4.990
3.157 3.645 4.990
0.000 3.645 4.990
0.000 3.645 0.000
```

***

Diffraction record for Mg6MnNi. The powder X-ray diffraction pattern is simulated, not measured: it uses a structure optimized by DFT (GGA-PBE) and copper Kα.

Principal peaks in the range 15° ≤ 2θ ≤ 90°, in order of falling intensity:
2theta, I/Imax
39.25, 100
39.38, 50
37.56, 37
34.29, 29
68.95, 25
17.02, 22
74.43, 17
51.77, 17
61.59, 16
18.53, 15
34.43, 14
75.35, 13

```
Mg6MnNi
1.0
4.789 0.000 0.000
0.000 3.024 5.209
0.000 -3.024 5.209
Mg Mn Ni
6 1 1
Cartesian
0.000 0.000 0.000
0.000 -1.541 7.673
0.000 0.000 5.176
0.000 1.541 7.673
2.394 -1.504 4.263
2.394 1.504 4.263
2.394 0.000 6.860
2.394 0.000 1.654
```

***

Diffraction record for Mg3MnNi2. The powder X-ray diffraction pattern is simulated, not measured: it uses a structure optimized by DFT (GGA-PBE) and copper Kα.

Principal peaks in the range 15° ≤ 2θ ≤ 90°, in order of falling intensity:
2theta, I/Imax
40.96, 100
44.78, 27
47.66, 25
69.70, 21
84.14, 20
38.53, 15
52.41, 11
46.96, 11
53.06, 10
88.83, 10
76.22, 8
50.42, 8

```
Mg3MnNi2
1.0
0.000 5.724 5.724
5.724 0.000 5.724
5.724 5.724 0.000
Mg Mn Ni
12 4 8
Cartesian
4.293 4.293 0.848
4.293 0.848 4.293
7.738 4.293 4.293
7.155 7.155 3.710
7.155 3.710 7.155
10.600 7.155 7.155
0.848 4.293 4.293
4.293 7.738 4.293
4.293 4.293 7.738
3.710 7.155 7.155
7.155 10.600 7.155
7.155 7.155 10.600
5.724 2.862 2.862
2.862 5.724 2.862
2.862 2.862 5.724
5.724 5.724 5.724
3.378 3.378 3.378
5.208 5.208 3.378
5.208 3.378 5.208
8.070 6.240 6.240
3.378 5.208 5.208
6.240 8.070 6.240
6.240 6.240 8.070
8.070 8.070 8.070
```

***

Diffraction record for Mg6MnNi. The powder X-ray diffraction pattern is simulated, not measured: it uses a structure optimized by DFT (GGA-PBE) and copper Kα.

Principal peaks in the range 15° ≤ 2θ ≤ 90°, in order of falling intensity:
2theta, I/Imax
39.25, 100
16.96, 33
37.49, 26
34.31, 25
68.81, 17
74.24, 17
61.44, 15
51.72, 15
75.41, 9
49.90, 9
35.11, 7
41.41, 6

```
Mg6MnNi
1.0
4.798 0.000 0.000
0.000 3.016 5.232
0.000 -3.016 5.232
Mg Mn Ni
6 1 1
Cartesian
0.000 0.000 0.000
0.000 -1.427 2.652
0.000 1.427 2.652
2.399 -1.455 6.018
2.399 1.455 6.018
2.399 0.000 8.678
0.000 0.000 5.112
2.399 0.000 3.623
```

***

Diffraction record for MgMnNiS4. The powder X-ray diffraction pattern is simulated, not measured: it uses a structure optimized by DFT (GGA-PBE) and copper Kα.

Principal peaks in the range 15° ≤ 2θ ≤ 90°, in order of falling intensity:
2theta, I/Imax
15.32, 100
36.08, 94
51.53, 89
35.52, 49
29.64, 39
15.40, 37
29.39, 37
29.79, 32
47.50, 27
46.74, 26
47.32, 24
51.68, 22

```
MgMnNiS4
1.0
6.146 -3.538 0.000
6.146 3.538 0.000
-3.986 0.000 5.765
Mg Mn Ni S
2 2 2 8
Cartesian
0.069 0.000 2.180
8.236 0.000 3.585
6.146 0.000 0.000
4.153 0.000 2.882
3.073 1.769 0.000
3.073 -1.769 0.000
5.043 1.559 1.367
2.352 0.000 1.362
0.108 0.000 4.611
3.263 1.559 4.398
5.043 -1.559 1.367
8.198 0.000 1.153
5.954 0.000 4.403
3.263 -1.559 4.398
```

***

Diffraction record for Mg2MnNi3S8. The powder X-ray diffraction pattern is simulated, not measured: it uses a structure optimized by DFT (GGA-PBE) and copper Kα.

Principal peaks in the range 15° ≤ 2θ ≤ 90°, in order of falling intensity:
2theta, I/Imax
15.45, 100
36.18, 96
29.84, 74
52.06, 44
52.14, 43
47.56, 42
47.63, 13
88.00, 12
25.36, 11
54.71, 10
67.38, 9
65.02, 8

```
Mg2MnNi3S8
1.0
6.077 -3.509 0.000
6.077 3.509 0.000
-4.062 0.000 5.742
Mg Mn Ni S
2 1 3 8
Cartesian
-0.005 0.000 2.172
8.096 0.000 3.570
4.045 0.000 2.871
3.038 1.754 0.000
3.038 -1.754 0.000
6.077 0.000 0.000
2.292 0.000 1.362
-0.007 0.000 4.614
4.928 1.519 1.364
3.163 1.519 4.377
4.928 -1.519 1.364
3.163 -1.519 4.377
8.098 0.000 1.128
5.799 0.000 4.380
```